Starting from DFT lattice parameters and positions (GGA-PBE), the powder X-ray diffraction pattern of Li3PmTl was calculated for copper Kα.
No peak broadening, texture or thermal motion is included.

Largest 10 diffraction maxima, in order of rising 2θ, 10° ≤ 2θ ≤ 90°:
2θ 12.30, I = 100.0
2θ 23.62, I = 34.5
2θ 32.02, I = 27.0
2θ 33.26, I = 74.9
2θ 36.07, I = 14.9
2θ 36.35, I = 16.8
2θ 38.24, I = 13.4
2θ 38.84, I = 19.8
2θ 46.31, I = 12.9
2θ 52.14, I = 12.2

Atomic structure:
```
Li3PmTl
1.0
2.490 -14.396 0.000
2.490 14.396 0.000
0.000 0.000 3.400
Li Pm Tl
6 2 2
direct
0.046 0.954 0.000
0.225 0.775 0.500
0.441 0.559 0.500
0.559 0.441 0.500
0.775 0.225 0.500
0.954 0.046 0.000
0.332 0.668 0.000
0.668 0.332 0.000
0.121 0.879 0.500
0.879 0.121 0.500
```